Theoretical XRD peak list of PdSe2O5 for CuKα, from the PBE geometry in Alexandria.

Cell and atoms:
Cell lengths 6.9964, 10.9768, 6.4421 Å; angles 90.00, 90.00, 90.00 degrees
Space group Pbcn (No. 60)
One atom of each set of equivalent atoms:
Pd (0.0000, 0.0664, 0.2500) x4
Se (0.1314, 0.3439, 0.0385) x8
O (0.0000, 0.4255, 0.2500) x4
O (0.1645, 0.0687, 0.5485) x8
O (0.2036, 0.2131, 0.1580) x8

Principal peaks in the range 10° ≤ 2θ ≤ 90°, in order of rising 2θ:
2θ (°), I (rel.), index
20.41, 73, 1 1 1
24.82, 100, 1 2 1
27.51, 50, 1 3 0
30.19, 68, 2 1 1
30.87, 52, 1 3 1
31.65, 58, 1 1 2

=====

Theoretical XRD peak list of Pa3InBi6 for CuKα, from the PBE geometry in Alexandria.

Cell and atoms:
Cell lengths 4.6635, 4.6635, 19.0171 Å; angles 90.00, 90.00, 120.00 degrees
Space group P-3m1 (No. 164)
One atom of each set of equivalent atoms:
Pa (0.0000, 0.0000, 0.0000) x1
Pa (0.0000, 0.0000, 0.3177) x2
In (0.0000, 0.0000, 0.5000) x1
Bi (0.3333, 0.6667, 0.0841) x2
Bi (0.3333, 0.6667, 0.4064) x2
Bi (0.3333, 0.6667, 0.7646) x2

Principal peaks in the range 10° ≤ 2θ ≤ 90°, in order of rising 2θ:
2θ (°), I (rel.), index
26.16, 100, 0 1 3
36.02, 52, 1 0 6
38.61, 54, 1 1 0
47.24, 21, 2 0 3
62.59, 19, 1 2 3
68.19, 18, 2 1 6

=====

Theoretical XRD peak list of TbNdHg4 for CuKα, from the PBE geometry in Alexandria.

Cell and atoms:
Cell lengths 8.4796, 8.4796, 8.4796 Å; angles 90.00, 90.00, 90.00 degrees
Space group F-43m (No. 216)
One atom of each set of equivalent atoms:
Tb (0.0000, 0.0000, 0.0000) x4
Nd (0.2500, 0.2500, 0.2500) x4
Hg (0.1250, 0.1250, 0.6250) x16

Principal peaks in the range 10° ≤ 2θ ≤ 90°, in order of rising 2θ:
2θ (°), I (rel.), index
35.10, 100, 3 1 1
36.71, 50, 2 2 2
56.38, 35, 5 1 1
61.90, 32, 4 4 0
74.18, 20, 6 2 2
88.59, 23, 7 3 1

=====

Theoretical XRD peak list of DyZr2As4 for CuKα, from the PBE geometry in Alexandria.

Cell and atoms:
Cell lengths 3.8924, 12.9250, 12.7084 Å; angles 90.00, 90.00, 90.00 degrees
Space group Cmcm (No. 63)
One atom of each set of equivalent atoms:
Dy (0.0000, 0.1073, 0.2500) x4
Zr (0.0000, 0.3650, 0.0560) x8
As (0.0000, 0.0000, 0.0000) x4
As (0.0000, 0.2627, 0.6329) x8
As (0.0000, 0.4427, 0.2500) x4

Principal peaks in the range 10° ≤ 2θ ≤ 90°, in order of rising 2θ:
2θ (°), I (rel.), index
25.14, 45, 0 2 3
31.37, 40, 0 2 4
31.77, 100, 1 3 1
34.10, 57, 1 3 2
43.08, 52, 1 1 5
44.41, 37, 1 5 2